Record 1
Computed XRD peak list
Compound: Tb6DyS8
Radiation: Cu Kα
Structure: DFT lattice parameters and positions (PBE)
Kinematic intensities with the Lorentz-polarization factor, no thermal factor.

Peak list (8 most intense, 5° ≤ 2θ ≤ 70°, low angle first)
- 2θ = 13.84°, rel. 13.8
- 2θ = 26.68°, rel. 8.9
- 2θ = 27.89°, rel. 71.2
- 2θ = 32.31°, rel. 100.0
- 2θ = 46.34°, rel. 71.8
- 2θ = 54.96°, rel. 35.1
- 2θ = 57.62°, rel. 24.8
- 2θ = 67.62°, rel. 11.5

Crystal structure
```
15
Lattice="0.0000 5.5415 5.5415 5.5415 0.0000 5.5415 5.5415 5.5415 0.0000" Properties=species:S:1:pos:R:3 pbc="T T T"
Tb 2.7707 2.7707 0.0000
Tb 2.7707 0.0000 2.7707
Tb 5.5415 2.7707 2.7707
Tb 0.0000 2.7707 2.7707
Tb 2.7707 5.5415 2.7707
Tb 2.7707 2.7707 5.5415
Dy 0.0000 0.0000 0.0000
S 2.7707 2.7707 2.7707
S 5.5415 5.5415 2.7683
S 5.5415 2.7683 5.5415
S 8.3146 5.5415 5.5415
S 2.7683 5.5415 5.5415
S 5.5415 8.3146 5.5415
S 5.5415 5.5415 8.3146
S 8.3122 8.3122 8.3122
```

Record 2
Computed XRD peak list
Compound: Tb6Dy2S3
Radiation: Cu Kα
Structure: DFT lattice parameters and positions (PBE)
Kinematic intensities with the Lorentz-polarization factor, no thermal factor.

Peak list (8 most intense, 5° ≤ 2θ ≤ 70°, low angle first)
- 2θ = 29.15°, rel. 100.0
- 2θ = 30.59°, rel. 87.3
- 2θ = 32.39°, rel. 33.0
- 2θ = 33.78°, rel. 47.7
- 2θ = 36.09°, rel. 31.2
- 2θ = 48.52°, rel. 60.9
- 2θ = 51.82°, rel. 32.9
- 2θ = 57.60°, rel. 45.9

Crystal structure
```
11
Lattice="1.8764 1.0834 24.5093 -1.8764 1.0834 24.5093 0.0000 -2.1667 24.5093" Properties=species:S:1:pos:R:3 pbc="T T T"
Tb 0.0000 0.0000 5.0824
Tb 0.0000 0.0000 13.6622
Tb 0.0000 0.0000 26.2456
Tb 0.0000 0.0000 47.2824
Tb 0.0000 0.0000 59.8657
Tb 0.0000 0.0000 68.4455
Dy 0.0000 0.0000 32.5124
Dy 0.0000 0.0000 41.0156
S 0.0000 0.0000 0.0000
S 0.0000 0.0000 21.1246
S 0.0000 0.0000 52.4034
```